Entry 1:
Starting from DFT lattice parameters and positions (GGA-PBE), the powder XRD pattern of AcCd3Ag8 was simulated for Cu Kα, 1.54184 Å.

Top 10 peaks for 10 to 90 degrees two-theta, sorted by position:
2θ/deg, I/Imax
31.4, 33
31.8, 37
37.0, 55
37.3, 100
37.4, 54
39.1, 55
60.1, 25
60.3, 24
65.6, 23
66.4, 28

Structure:
abc: 9.898 9.898 9.898
angles: 33.05 33.05 33.05
Positions (direct):
Ac 0.000 0.000 0.000
Cd 0.131 0.131 0.131
Cd 0.498 0.498 0.498
Cd 0.610 0.610 0.610
Ag 0.062 0.062 0.558
Ag 0.062 0.558 0.062
Ag 0.068 0.565 0.565
Ag 0.313 0.313 0.313
Ag 0.558 0.062 0.062
Ag 0.565 0.068 0.565
Ag 0.565 0.565 0.068
Ag 0.814 0.814 0.814

Entry 2:
Starting from DFT lattice parameters and positions (GGA-PBE), the powder XRD pattern of Ac2Cd12Ag5 was simulated for Cu Kα, 1.54184 Å.

Top 10 peaks for 10 to 90 degrees two-theta, sorted by position:
2θ/deg, I/Imax
30.6, 38
31.7, 31
35.5, 66
35.7, 100
36.4, 49
36.6, 24
40.0, 40
51.8, 27
63.7, 21
65.1, 24

Structure:
abc: 7.646 7.646 7.646
angles: 82.89 82.89 82.89
Positions (direct):
Ac 0.162 0.162 0.162
Ac 0.838 0.838 0.838
Cd 0.151 0.151 0.649
Cd 0.151 0.649 0.151
Cd 0.208 0.500 0.792
Cd 0.208 0.792 0.500
Cd 0.351 0.849 0.849
Cd 0.500 0.208 0.792
Cd 0.500 0.792 0.208
Cd 0.649 0.151 0.151
Cd 0.792 0.208 0.500
Cd 0.792 0.500 0.208
Cd 0.849 0.351 0.849
Cd 0.849 0.849 0.351
Ag 0.000 0.500 0.500
Ag 0.396 0.396 0.396
Ag 0.500 0.000 0.500
Ag 0.500 0.500 0.000
Ag 0.604 0.604 0.604

Entry 3:
Starting from DFT lattice parameters and positions (GGA-PBE), the powder XRD pattern of AcCd12Ag4 was simulated for Cu Kα, 1.54184 Å.

Top 10 peaks for 10 to 90 degrees two-theta, sorted by position:
2θ/deg, I/Imax
26.0, 16
29.1, 100
34.6, 48
41.7, 20
45.9, 36
47.8, 40
60.4, 10
65.3, 16
84.9, 13
86.3, 14

Structure:
abc: 8.395 8.395 8.395
angles: 109.47 109.47 109.47
Positions (direct):
Ac 0.000 0.000 0.000
Cd 0.155 0.506 0.351
Cd 0.155 0.804 0.649
Cd 0.196 0.351 0.845
Cd 0.351 0.155 0.506
Cd 0.351 0.845 0.196
Cd 0.494 0.649 0.845
Cd 0.506 0.351 0.155
Cd 0.649 0.155 0.804
Cd 0.649 0.845 0.494
Cd 0.804 0.649 0.155
Cd 0.845 0.196 0.351
Cd 0.845 0.494 0.649
Ag 0.000 0.000 0.500
Ag 0.000 0.500 0.000
Ag 0.500 0.000 0.000
Ag 0.500 0.500 0.500

Entry 4:
Starting from DFT lattice parameters and positions (GGA-PBE), the powder XRD pattern of Ac2Cd5Ag12 was simulated for Cu Kα, 1.54184 Å.

Top 10 peaks for 10 to 90 degrees two-theta, sorted by position:
2θ/deg, I/Imax
31.3, 40
32.2, 32
36.3, 60
36.5, 100
37.0, 30
37.1, 19
40.9, 39
52.8, 22
59.1, 19
65.3, 31

Structure:
abc: 7.503 7.503 7.503
angles: 82.59 82.59 82.59
Positions (direct):
Ac 0.149 0.149 0.149
Ac 0.851 0.851 0.851
Cd 0.000 0.500 0.500
Cd 0.400 0.400 0.400
Cd 0.500 0.000 0.500
Cd 0.500 0.500 0.000
Cd 0.600 0.600 0.600
Ag 0.149 0.149 0.656
Ag 0.149 0.656 0.149
Ag 0.197 0.500 0.803
Ag 0.197 0.803 0.500
Ag 0.344 0.851 0.851
Ag 0.500 0.197 0.803
Ag 0.500 0.803 0.197
Ag 0.656 0.149 0.149
Ag 0.803 0.197 0.500
Ag 0.803 0.500 0.197
Ag 0.851 0.344 0.851
Ag 0.851 0.851 0.344

Entry 5:
Starting from DFT lattice parameters and positions (GGA-PBE), the powder XRD pattern of Ac3Cd6Ag5 was simulated for Cu Kα, 1.54184 Å.

Top 10 peaks for 10 to 90 degrees two-theta, sorted by position:
2θ/deg, I/Imax
30.5, 45
31.6, 100
32.1, 60
32.4, 49
32.6, 24
34.8, 39
36.8, 60
40.9, 23
48.5, 25
61.1, 30

Structure:
abc: 9.139 9.139 9.139
angles: 149.02 113.30 75.35
Positions (direct):
Ac 0.000 0.000 0.000
Ac 0.286 0.286 0.000
Ac 0.714 0.714 0.000
Cd 0.152 0.862 0.290
Cd 0.324 0.500 0.824
Cd 0.428 0.138 0.290
Cd 0.572 0.862 0.710
Cd 0.676 0.500 0.176
Cd 0.848 0.138 0.710
Ag 0.015 0.656 0.360
Ag 0.296 0.656 0.640
Ag 0.500 0.000 0.500
Ag 0.704 0.344 0.360
Ag 0.985 0.344 0.640

Entry 6:
Starting from DFT lattice parameters and positions (GGA-PBE), the powder XRD pattern of Ac2Cd5Ag3 was simulated for Cu Kα, 1.54184 Å.

Top 10 peaks for 10 to 90 degrees two-theta, sorted by position:
2θ/deg, I/Imax
30.8, 19
31.3, 100
31.6, 69
34.8, 31
35.1, 23
36.2, 52
38.0, 18
51.3, 16
60.5, 23
62.1, 14

Structure:
abc: 13.790 13.790 7.588
angles: 90.00 90.00 159.27
Positions (direct):
Ac 0.017 0.983 0.500
Ac 0.326 0.674 0.457
Ac 0.674 0.326 0.957
Ac 0.983 0.017 0.000
Cd 0.106 0.894 0.173
Cd 0.203 0.797 0.635
Cd 0.211 0.789 0.250
Cd 0.374 0.626 0.992
Cd 0.447 0.553 0.306
Cd 0.553 0.447 0.806
Cd 0.626 0.374 0.492
Cd 0.789 0.211 0.750
Cd 0.797 0.203 0.135
Cd 0.894 0.106 0.673
Ag 0.107 0.893 0.780
Ag 0.269 0.731 0.937
Ag 0.448 0.552 0.705
Ag 0.552 0.448 0.205
Ag 0.731 0.269 0.437
Ag 0.893 0.107 0.280

Entry 7:
Starting from DFT lattice parameters and positions (GGA-PBE), the powder XRD pattern of Ac3Cd4Ag2 was simulated for Cu Kα, 1.54184 Å.

Top 10 peaks for 10 to 90 degrees two-theta, sorted by position:
2θ/deg, I/Imax
30.7, 33
30.8, 68
30.9, 100
35.2, 85
35.4, 43
47.2, 27
47.5, 29
60.4, 26
60.5, 25
60.7, 29

Structure:
abc: 6.413 6.413 9.625
angles: 113.43 113.43 46.63
Positions (direct):
Ac 0.000 0.000 0.000
Ac 0.327 0.327 0.342
Ac 0.673 0.673 0.658
Cd 0.040 0.040 0.373
Cd 0.275 0.275 0.938
Cd 0.725 0.725 0.062
Cd 0.960 0.960 0.627
Ag 0.399 0.399 0.731
Ag 0.601 0.601 0.269

Entry 8:
Starting from DFT lattice parameters and positions (GGA-PBE), the powder XRD pattern of Ac2Cd10Ag was simulated for Cu Kα, 1.54184 Å.

Top 10 peaks for 10 to 90 degrees two-theta, sorted by position:
2θ/deg, I/Imax
17.0, 93
22.2, 86
31.5, 49
32.9, 61
34.3, 100
35.0, 56
37.0, 67
37.2, 53
37.5, 76
38.4, 59

Structure:
abc: 10.502 12.036 6.239
angles: 90.00 90.00 90.00
Positions (direct):
Ac 0.133 0.128 0.000
Ac 0.367 0.628 0.000
Ac 0.633 0.372 0.000
Ac 0.867 0.872 0.000
Cd 0.042 0.887 0.500
Cd 0.075 0.684 0.231
Cd 0.075 0.684 0.769
Cd 0.181 0.306 0.500
Cd 0.242 0.050 0.500
Cd 0.258 0.550 0.500
Cd 0.319 0.806 0.500
Cd 0.425 0.184 0.231
Cd 0.425 0.184 0.769
Cd 0.458 0.387 0.500
Cd 0.542 0.613 0.500
Cd 0.575 0.816 0.231
Cd 0.575 0.816 0.769
Cd 0.681 0.194 0.500
Cd 0.742 0.450 0.500
Cd 0.758 0.950 0.500
Cd 0.819 0.694 0.500
Cd 0.925 0.316 0.231
Cd 0.925 0.316 0.769
Cd 0.958 0.113 0.500
Ag 0.000 0.500 0.500
Ag 0.500 0.000 0.500

Entry 9:
Starting from DFT lattice parameters and positions (GGA-PBE), the powder XRD pattern of AcCd6Ag4 was simulated for Cu Kα, 1.54184 Å.

Top 10 peaks for 10 to 90 degrees two-theta, sorted by position:
2θ/deg, I/Imax
29.7, 36
32.4, 100
34.2, 44
39.6, 67
43.9, 24
45.2, 24
51.5, 15
53.2, 24
61.6, 26
67.3, 12

Structure:
abc: 8.017 8.017 4.557
angles: 90.00 90.00 120.00
Positions (direct):
Ac 0.000 0.000 0.000
Cd 0.203 0.406 0.500
Cd 0.203 0.797 0.500
Cd 0.536 0.072 0.000
Cd 0.536 0.464 0.000
Cd 0.594 0.797 0.500
Cd 0.928 0.464 0.000
Ag 0.333 0.667 0.000
Ag 0.407 0.204 0.500
Ag 0.796 0.204 0.500
Ag 0.796 0.593 0.500

Entry 10:
Starting from DFT lattice parameters and positions (GGA-PBE), the powder XRD pattern of AcCd2Ag2Ge was simulated for Cu Kα, 1.54184 Å.

Top 10 peaks for 10 to 90 degrees two-theta, sorted by position:
2θ/deg, I/Imax
21.1, 31
25.4, 89
28.2, 23
30.1, 100
40.2, 59
43.0, 100
48.2, 31
60.3, 25
66.9, 20
75.0, 44

Structure:
abc: 4.483 4.483 16.854
angles: 90.00 90.00 90.00
Positions (direct):
Ac 0.000 0.000 0.000
Ac 0.500 0.500 0.500
Cd 0.000 0.500 0.250
Cd 0.000 0.500 0.750
Cd 0.500 0.000 0.250
Cd 0.500 0.000 0.750
Ag 0.000 0.000 0.353
Ag 0.000 0.000 0.647
Ag 0.500 0.500 0.147
Ag 0.500 0.500 0.853
Ge 0.000 0.000 0.500
Ge 0.500 0.500 0.000

Entry 11:
Starting from DFT lattice parameters and positions (GGA-PBE), the powder XRD pattern of AcCdAgGe2 was simulated for Cu Kα, 1.54184 Å.

Top 10 peaks for 10 to 90 degrees two-theta, sorted by position:
2θ/deg, I/Imax
21.2, 13
30.4, 43
32.1, 100
40.2, 43
43.7, 25
51.3, 21
58.2, 14
60.9, 19
68.1, 22
89.3, 15

Structure:
abc: 4.482 4.482 11.689
angles: 90.00 90.00 90.00
Positions (direct):
Ac 0.000 0.000 0.000
Ac 0.500 0.500 0.500
Cd 0.000 0.500 0.250
Cd 0.500 0.000 0.750
Ag 0.000 0.500 0.750
Ag 0.500 0.000 0.250
Ge 0.000 0.000 0.390
Ge 0.000 0.000 0.610
Ge 0.500 0.500 0.110
Ge 0.500 0.500 0.890

Entry 12:
Starting from DFT lattice parameters and positions (GGA-PBE), the powder XRD pattern of Ac3Cd2AgHg6 was simulated for Cu Kα, 1.54184 Å.

Top 10 peaks for 10 to 90 degrees two-theta, sorted by position:
2θ/deg, I/Imax
18.3, 12
27.5, 11
27.7, 12
32.1, 22
33.3, 100
37.1, 27
52.5, 11
55.4, 9
56.9, 19
70.0, 10

Structure:
abc: 6.478 6.478 9.649
angles: 90.00 90.00 120.00
Positions (direct):
Ac 0.000 0.000 0.000
Ac 0.333 0.667 0.611
Ac 0.667 0.333 0.389
Cd 0.333 0.667 0.987
Cd 0.667 0.333 0.013
Ag 0.000 0.000 0.500
Hg 0.176 0.352 0.275
Hg 0.176 0.824 0.275
Hg 0.352 0.176 0.725
Hg 0.648 0.824 0.275
Hg 0.824 0.176 0.725
Hg 0.824 0.648 0.725